The following is a calculated powder diffractogram of NdWNO3. It was derived from a DFT-relaxed cell (PBE+U, the Materials Project), using CuKα.

Structure:
a b c (Å): 5.274 5.486 6.733
angles (deg): 112.41 108.73 92.17
Space group P1 (No. 1)
Inequivalent atoms, fractional coordinates:
Nd1 0.000 0.000 0.000 x1
Nd2 0.248 0.733 0.488 x1
W1 0.509 0.498 0.980 x1
W2 0.733 0.233 0.528 x1
N1 0.430 0.999 0.318 x1
N2 0.590 0.186 0.799 x1
O1 0.254 0.654 0.825 x1
O2 0.333 0.408 0.146 x1
O3 0.667 0.592 0.664 x1
O4 0.850 0.715 0.155 x1
O5 0.912 0.306 0.345 x1
O6 0.998 0.049 0.653 x1

Top 6 peaks for 2θ = 10–80°, in order of rising 2θ:
hkl 1 -1 1, 27.23 deg, rel. 100.0
hkl 1 1 0, 27.74 deg, rel. 99.2
hkl -1 1 1, 28.18 deg, rel. 90.5
hkl 1 1 -2, 29.22 deg, rel. 72.6
hkl 0 0 2, 30.84 deg, rel. 56.0
hkl 0 2 -1, 32.67 deg, rel. 46.1

The following is a calculated powder diffractogram of MgFe8O8F8. It was derived from a DFT-relaxed cell (PBE+U, the Materials Project), using CuKα.

Structure:
a b c (Å): 5.093 5.329 11.675
angles (deg): 89.23 89.60 89.39
Space group P1 (No. 1)
Inequivalent atoms, fractional coordinates:
Mg1 0.000 0.000 0.000 x1
Fe1 0.060 0.610 0.386 x1
Fe2 0.419 0.099 0.506 x1
Fe3 0.492 0.239 0.004 x1
Fe4 0.547 0.957 0.255 x1
Fe5 0.560 0.969 0.756 x1
Fe6 0.914 0.454 0.627 x1
Fe7 0.932 0.465 0.146 x1
Fe8 0.962 0.505 0.872 x1
O1 0.139 0.360 0.013 x1
O2 0.166 0.369 0.502 x1
O3 0.304 0.877 0.380 x1
O4 0.669 0.184 0.626 x1
O5 0.729 0.148 0.881 x1
O6 0.729 0.167 0.138 x1
O7 0.768 0.672 0.746 x1
O8 0.801 0.687 0.263 x1
F1 0.179 0.338 0.741 x1
F2 0.213 0.391 0.258 x1
F3 0.251 0.865 0.879 x1
F4 0.277 0.900 0.128 x1
F5 0.293 0.873 0.632 x1
F6 0.675 0.187 0.378 x1
F7 0.779 0.701 0.023 x1
F8 0.795 0.700 0.504 x1

Top 6 peaks for 2θ = 10–80°, in order of rising 2θ:
hkl 1 1 0, 24.05 deg, rel. 100.0
hkl 1 -1 0, 24.30 deg, rel. 98.8
hkl 1 1 -2, 28.73 deg, rel. 37.5
hkl 1 0 4, 35.30 deg, rel. 42.9
hkl 1 -1 4, 39.58 deg, rel. 28.7
hkl 2 -1 4, 50.71 deg, rel. 44.8

The following is a calculated powder diffractogram of Li7Mn5O12. It was derived from a DFT-relaxed cell (PBE+U, the Materials Project), using CuKα.

Structure:
a b c (Å): 5.095 8.994 10.116
angles (deg): 103.48 100.98 91.35
Space group P-1 (No. 2)
Inequivalent atoms, fractional coordinates:
Li1 0.000 0.000 0.000 x1
Li2 0.004 0.655 0.999 x2
Li3 0.238 0.912 0.253 x2
Li4 0.250 0.250 0.249 x2
Li5 0.254 0.249 0.747 x2
Li6 0.266 0.589 0.253 x2
Li7 0.494 0.832 0.496 x2
Li8 0.500 0.500 0.500 x1
Mn1 0.000 0.000 0.500 x1
Mn2 0.012 0.330 0.499 x2
Mn3 0.249 0.575 0.749 x2
Mn4 0.249 0.923 0.753 x2
Mn5 0.499 0.170 0.999 x2
Mn6 0.500 0.500 0.000 x1
O1 0.104 0.105 0.369 x2
O2 0.105 0.806 0.394 x2
O3 0.107 0.451 0.371 x2
O4 0.144 0.805 0.877 x2
O5 0.150 0.463 0.877 x2
O6 0.156 0.109 0.870 x2
O7 0.340 0.721 0.639 x2
O8 0.350 0.030 0.625 x2
O9 0.361 0.372 0.613 x2
O10 0.387 0.694 0.106 x2
O11 0.393 0.390 0.127 x2
O12 0.400 0.054 0.130 x2

Top 6 peaks for 2θ = 10–80°, in order of rising 2θ:
hkl 1 0 -1, 18.30 deg, rel. 100.0
hkl 0 3 1, 34.30 deg, rel. 16.4
hkl 0 3 -3, 36.31 deg, rel. 11.6
hkl -1 3 2, 41.32 deg, rel. 34.4
hkl 2 0 2, 44.15 deg, rel. 56.2
hkl 0 6 -2, 62.08 deg, rel. 16.2